# 1
Computed PXRD pattern
Compound: Li4Mn3O7
Radiation: CuKα
Structure: a PBE+U-relaxed structure
Neutral-atom scattering factors, no anomalous dispersion.

Structure:
abc: 3.080 3.080 34.517
angles: 91.21 91.21 55.71
Element x y z (fractional)
Li1 0.000 0.000 0.000
Li2 0.000 0.000 0.500
Li3 0.142 0.142 0.214
Li4 0.300 0.300 0.933
Li5 0.429 0.429 0.643
Li6 0.571 0.571 0.357
Li7 0.700 0.700 0.067
Li8 0.858 0.858 0.786
Mn1 0.143 0.143 0.714
Mn2 0.286 0.286 0.429
Mn3 0.425 0.425 0.143
Mn4 0.575 0.575 0.857
Mn5 0.714 0.714 0.571
Mn6 0.857 0.857 0.286
O1 0.066 0.066 0.112
O2 0.090 0.090 0.604
O3 0.202 0.202 0.824
O4 0.233 0.233 0.319
O5 0.339 0.339 0.538
O6 0.360 0.360 0.036
O7 0.482 0.482 0.253
O8 0.518 0.518 0.747
O9 0.640 0.640 0.964
O10 0.661 0.661 0.462
O11 0.767 0.767 0.681
O12 0.798 0.798 0.176
O13 0.910 0.910 0.396
O14 0.934 0.934 0.888

Principal peaks in the range 10° ≤ 2θ ≤ 90°, sorted by position:
2theta  I_rel
10.3  9
18.0  100
33.1  22
36.1  26
39.6  41
44.0  57
46.2  12
57.8  9
60.4  19
60.8  18


# 2
Computed PXRD pattern
Compound: LiMn6O12
Radiation: CuKα
Structure: a PBE+U-relaxed structure
Neutral-atom scattering factors, no anomalous dispersion.

Structure:
abc: 6.692 6.692 15.377
angles: 97.33 97.33 82.08
Element x y z (fractional)
Li1 0.000 0.000 0.000
Li2 0.659 0.339 0.668
Li3 0.661 0.341 0.332
Mn1 0.081 0.427 0.751
Mn2 0.086 0.429 0.085
Mn3 0.088 0.431 0.419
Mn4 0.237 0.249 0.583
Mn5 0.238 0.249 0.250
Mn6 0.247 0.255 0.917
Mn7 0.404 0.082 0.750
Mn8 0.407 0.084 0.416
Mn9 0.425 0.099 0.084
Mn10 0.569 0.912 0.581
Mn11 0.571 0.914 0.915
Mn12 0.573 0.919 0.249
Mn13 0.745 0.753 0.083
Mn14 0.751 0.762 0.750
Mn15 0.751 0.763 0.417
Mn16 0.901 0.575 0.916
Mn17 0.916 0.593 0.584
Mn18 0.918 0.596 0.250
O1 0.010 0.696 0.046
O2 0.014 0.691 0.705
O3 0.016 0.694 0.373
O4 0.144 0.161 0.124
O5 0.144 0.161 0.794
O6 0.146 0.162 0.461
O7 0.167 0.518 0.871
O8 0.179 0.518 0.542
O9 0.180 0.517 0.207
O10 0.304 0.990 0.954
O11 0.306 0.984 0.627
O12 0.309 0.986 0.295
O13 0.347 0.346 0.703
O14 0.347 0.358 0.037
O15 0.353 0.349 0.374
O16 0.482 0.821 0.458
O17 0.482 0.833 0.129
O18 0.483 0.820 0.793
O19 0.505 0.185 0.541
O20 0.507 0.180 0.869
O21 0.516 0.191 0.220
O22 0.642 0.653 0.963
O23 0.651 0.647 0.626
O24 0.654 0.653 0.297
O25 0.666 0.026 0.701
O26 0.671 0.026 0.371
O27 0.691 0.011 0.032
O28 0.809 0.484 0.780
O29 0.815 0.495 0.459
O30 0.820 0.493 0.131
O31 0.838 0.854 0.539
O32 0.839 0.856 0.206
O33 0.839 0.856 0.876
O34 0.974 0.329 0.629
O35 0.974 0.334 0.299
O36 0.989 0.309 0.968

Principal peaks in the range 10° ≤ 2θ ≤ 90°, sorted by position:
2theta  I_rel
17.8  100
35.5  10
35.8  19
42.8  16
43.0  30
46.9  5
56.3  10
61.7  7
63.0  9
66.0  8


# 3
Computed PXRD pattern
Compound: Li13Mn8O24
Radiation: CuKα
Structure: a PBE+U-relaxed structure
Neutral-atom scattering factors, no anomalous dispersion.

Structure:
abc: 4.980 4.980 19.266
angles: 92.81 92.81 119.68
Element x y z (fractional)
Li1 0.000 0.000 0.000
Li2 0.093 0.400 0.250
Li3 0.156 0.844 0.500
Li4 0.246 0.239 0.750
Li5 0.379 0.378 0.124
Li6 0.408 0.086 0.250
Li7 0.504 0.496 0.500
Li8 0.600 0.907 0.750
Li9 0.622 0.621 0.876
Li10 0.661 0.339 0.000
Li11 0.761 0.754 0.250
Li12 0.852 0.148 0.500
Li13 0.914 0.592 0.750
Mn1 0.047 0.701 0.125
Mn2 0.211 0.539 0.625
Mn3 0.299 0.953 0.875
Mn4 0.461 0.789 0.375
Mn5 0.546 0.204 0.625
Mn6 0.708 0.032 0.125
Mn7 0.796 0.454 0.375
Mn8 0.968 0.292 0.875
O1 0.001 0.642 0.928
O2 0.041 0.032 0.183
O3 0.108 0.728 0.318
O4 0.150 0.515 0.432
O5 0.230 0.223 0.567
O6 0.256 0.600 0.818
O7 0.272 0.892 0.682
O8 0.291 0.274 0.931
O9 0.358 0.999 0.072
O10 0.400 0.744 0.182
O11 0.483 0.475 0.317
O12 0.485 0.850 0.568
O13 0.523 0.142 0.432
O14 0.525 0.517 0.683
O15 0.611 0.244 0.819
O16 0.658 0.008 0.930
O17 0.726 0.709 0.069
O18 0.735 0.100 0.318
O19 0.756 0.389 0.181
O20 0.777 0.770 0.433
O21 0.858 0.477 0.568
O22 0.900 0.265 0.682
O23 0.968 0.959 0.817
O24 0.992 0.342 0.070

Principal peaks in the range 10° ≤ 2θ ≤ 90°, sorted by position:
2theta  I_rel
18.5  100
20.6  23
21.5  42
23.9  28
27.9  19
36.7  23
43.9  36
44.4  66
63.7  17
64.6  16


# 4
Computed PXRD pattern
Compound: Li2MnO2
Radiation: CuKα
Structure: a PBE+U-relaxed structure
Neutral-atom scattering factors, no anomalous dispersion.

Structure:
abc: 3.038 3.640 10.068
angles: 90.00 90.00 90.00
Element x y z (fractional)
Li1 0.000 0.000 0.224
Li2 0.000 0.000 0.776
Li3 0.500 0.500 0.276
Li4 0.500 0.500 0.724
Mn1 0.000 0.000 0.500
Mn2 0.500 0.500 0.000
O1 0.000 0.500 0.147
O2 0.000 0.500 0.853
O3 0.500 0.000 0.353
O4 0.500 0.000 0.647

Principal peaks in the range 10° ≤ 2θ ≤ 90°, sorted by position:
2theta  I_rel
17.6  30
26.0  100
30.7  13
40.0  44
42.7  26
50.1  12
53.6  37
54.7  10
66.0  16
67.5  10


# 5
Computed PXRD pattern
Compound: LiMn3O6
Radiation: CuKα
Structure: a PBE+U-relaxed structure
Neutral-atom scattering factors, no anomalous dispersion.

Structure:
abc: 5.927 5.953 13.138
angles: 102.95 102.14 91.65
Element x y z (fractional)
Li1 0.000 0.000 0.000
Li2 0.100 0.229 0.174
Li3 0.354 0.985 0.673
Li4 0.760 0.245 0.505
Mn1 0.052 0.617 0.589
Mn2 0.223 0.613 0.918
Mn3 0.229 0.113 0.423
Mn4 0.231 0.608 0.426
Mn5 0.381 0.628 0.252
Mn6 0.547 0.119 0.085
Mn7 0.547 0.627 0.083
Mn8 0.554 0.622 0.589
Mn9 0.723 0.604 0.922
Mn10 0.879 0.120 0.755
Mn11 0.879 0.622 0.751
Mn12 0.880 0.618 0.256
O1 0.019 0.351 0.428
O2 0.021 0.842 0.433
O3 0.083 0.392 0.743
O4 0.126 0.831 0.765
O5 0.142 0.817 0.269
O6 0.143 0.379 0.265
O7 0.309 0.876 0.099
O8 0.314 0.863 0.577
O9 0.317 0.401 0.580
O10 0.327 0.380 0.076
O11 0.442 0.388 0.410
O12 0.446 0.855 0.431
O13 0.469 0.381 0.930
O14 0.482 0.810 0.926
O15 0.616 0.433 0.241
O16 0.622 0.864 0.239
O17 0.640 0.416 0.740
O18 0.673 0.847 0.766
O19 0.753 0.884 0.081
O20 0.782 0.359 0.075
O21 0.786 0.389 0.595
O22 0.794 0.840 0.598
O23 0.961 0.408 0.909
O24 0.975 0.832 0.916

Principal peaks in the range 10° ≤ 2θ ≤ 90°, sorted by position:
2theta  I_rel
15.3  100
18.3  66
18.5  64
23.2  30
29.2  20
43.5  44
44.8  39
46.3  38
52.2  23
53.0  23


# 6
Computed PXRD pattern
Compound: Li4Mn3O7
Radiation: CuKα
Structure: a PBE+U-relaxed structure
Neutral-atom scattering factors, no anomalous dispersion.

Structure:
abc: 7.820 7.820 13.561
angles: 119.39 119.39 21.24
Element x y z (fractional)
Li1 0.000 0.000 0.000
Li2 0.070 0.070 0.350
Li3 0.206 0.206 0.064
Li4 0.362 0.362 0.795
Li5 0.500 0.500 0.500
Li6 0.638 0.638 0.205
Li7 0.794 0.794 0.936
Li8 0.930 0.930 0.650
Mn1 0.145 0.145 0.724
Mn2 0.286 0.286 0.427
Mn3 0.430 0.430 0.131
Mn4 0.570 0.570 0.869
Mn5 0.714 0.714 0.573
Mn6 0.855 0.855 0.276
O1 0.027 0.027 0.176
O2 0.114 0.114 0.536
O3 0.165 0.165 0.893
O4 0.259 0.259 0.245
O5 0.311 0.311 0.610
O6 0.396 0.396 0.982
O7 0.453 0.453 0.304
O8 0.547 0.547 0.696
O9 0.604 0.604 0.018
O10 0.689 0.689 0.390
O11 0.741 0.741 0.755
O12 0.835 0.835 0.107
O13 0.886 0.886 0.464
O14 0.973 0.973 0.824

Principal peaks in the range 10° ≤ 2θ ≤ 90°, sorted by position:
2theta  I_rel
18.3  100
34.0  17
36.1  23
41.0  33
44.0  56
47.0  9
58.1  10
61.4  15
62.1  16
64.7  8


# 7
Computed PXRD pattern
Compound: Li4Mn3O7
Radiation: CuKα
Structure: a PBE+U-relaxed structure
Neutral-atom scattering factors, no anomalous dispersion.

Structure:
abc: 3.006 7.856 11.299
angles: 80.77 83.26 83.56
Element x y z (fractional)
Li1 0.000 0.000 0.000
Li2 0.067 0.216 0.644
Li3 0.184 0.660 0.932
Li4 0.351 0.078 0.203
Li5 0.500 0.500 0.500
Li6 0.649 0.922 0.797
Li7 0.816 0.340 0.068
Li8 0.933 0.784 0.356
Mn1 0.132 0.432 0.285
Mn2 0.286 0.857 0.572
Mn3 0.436 0.276 0.863
Mn4 0.564 0.724 0.137
Mn5 0.714 0.143 0.428
Mn6 0.868 0.568 0.715
O1 0.002 0.870 0.173
O2 0.078 0.322 0.455
O3 0.133 0.557 0.117
O4 0.225 0.748 0.744
O5 0.353 0.964 0.401
O6 0.386 0.192 0.025
O7 0.495 0.393 0.689
O8 0.505 0.607 0.311
O9 0.614 0.808 0.975
O10 0.647 0.036 0.599
O11 0.775 0.252 0.256
O12 0.867 0.443 0.883
O13 0.922 0.678 0.545
O14 0.998 0.130 0.827

Principal peaks in the range 10° ≤ 2θ ≤ 90°, sorted by position:
2theta  I_rel
18.2  100
34.0  18
36.1  12
36.4  12
40.8  35
44.1  28
44.3  28
58.2  9
61.2  8
61.9  8


# 8
Computed PXRD pattern
Compound: Li2MnO3
Radiation: CuKα
Structure: a PBE+U-relaxed structure
Neutral-atom scattering factors, no anomalous dispersion.

Structure:
abc: 3.023 3.023 15.200
angles: 92.61 92.61 56.35
Element x y z (fractional)
Li1 0.000 0.000 0.000
Li2 0.000 0.000 0.500
Li3 0.350 0.350 0.656
Li4 0.650 0.650 0.344
Mn1 0.329 0.329 0.166
Mn2 0.671 0.671 0.834
O1 0.014 0.014 0.765
O2 0.317 0.317 0.911
O3 0.332 0.332 0.415
O4 0.668 0.668 0.585
O5 0.683 0.683 0.089
O6 0.986 0.986 0.235

Principal peaks in the range 10° ≤ 2θ ≤ 90°, sorted by position:
2theta  I_rel
11.7  49
17.5  100
23.4  16
33.9  17
36.3  21
40.4  46
43.7  67
60.4  20
61.5  29
65.4  14


Please write out number 4 again, unchanged.
Computed PXRD pattern
Compound: Li2MnO2
Radiation: CuKα
Structure: a PBE+U-relaxed structure
Neutral-atom scattering factors, no anomalous dispersion.

Structure:
abc: 3.038 3.640 10.068
angles: 90.00 90.00 90.00
Element x y z (fractional)
Li1 0.000 0.000 0.224
Li2 0.000 0.000 0.776
Li3 0.500 0.500 0.276
Li4 0.500 0.500 0.724
Mn1 0.000 0.000 0.500
Mn2 0.500 0.500 0.000
O1 0.000 0.500 0.147
O2 0.000 0.500 0.853
O3 0.500 0.000 0.353
O4 0.500 0.000 0.647

Principal peaks in the range 10° ≤ 2θ ≤ 90°, sorted by position:
2theta  I_rel
17.6  30
26.0  100
30.7  13
40.0  44
42.7  26
50.1  12
53.6  37
54.7  10
66.0  16
67.5  10


Which formula does entry 4 have?
Li2MnO2


Repeat the sixth record exactly.
Computed PXRD pattern
Compound: Li4Mn3O7
Radiation: CuKα
Structure: a PBE+U-relaxed structure
Neutral-atom scattering factors, no anomalous dispersion.

Structure:
abc: 7.820 7.820 13.561
angles: 119.39 119.39 21.24
Element x y z (fractional)
Li1 0.000 0.000 0.000
Li2 0.070 0.070 0.350
Li3 0.206 0.206 0.064
Li4 0.362 0.362 0.795
Li5 0.500 0.500 0.500
Li6 0.638 0.638 0.205
Li7 0.794 0.794 0.936
Li8 0.930 0.930 0.650
Mn1 0.145 0.145 0.724
Mn2 0.286 0.286 0.427
Mn3 0.430 0.430 0.131
Mn4 0.570 0.570 0.869
Mn5 0.714 0.714 0.573
Mn6 0.855 0.855 0.276
O1 0.027 0.027 0.176
O2 0.114 0.114 0.536
O3 0.165 0.165 0.893
O4 0.259 0.259 0.245
O5 0.311 0.311 0.610
O6 0.396 0.396 0.982
O7 0.453 0.453 0.304
O8 0.547 0.547 0.696
O9 0.604 0.604 0.018
O10 0.689 0.689 0.390
O11 0.741 0.741 0.755
O12 0.835 0.835 0.107
O13 0.886 0.886 0.464
O14 0.973 0.973 0.824

Principal peaks in the range 10° ≤ 2θ ≤ 90°, sorted by position:
2theta  I_rel
18.3  100
34.0  17
36.1  23
41.0  33
44.0  56
47.0  9
58.1  10
61.4  15
62.1  16
64.7  8